Record 1
Starting from a structure optimized by DFT (GGA+U), the X-ray powder pattern of MgV8O8F8 was simulated for Cu Kα (λ = 1.5418 Å).
Lines closer than 0.1° are merged.

Top 8 peaks for 15° ≤ 2θ ≤ 90°, by angle:
two_theta, Rel. int.
25.3, 91
26.7, 100
33.8, 27
34.3, 24
34.5, 56
51.4, 30
52.0, 30
59.6, 21

Structure:
a b c (Å): 4.964 5.677 10.445
angles (deg): 96.23 90.47 92.96
Space group P1 (No. 1)
One atom of each set of equivalent atoms:
Mg 0.000 0.000 0.000 [1 per cell]
V 0.004 0.140 0.377 [1 per cell]
V 0.016 0.578 0.849 [1 per cell]
V 0.018 0.875 0.633 [1 per cell]
V 0.484 0.915 0.148 [1 per cell]
V 0.500 0.641 0.379 [1 per cell]
V 0.508 0.121 0.868 [1 per cell]
V 0.528 0.354 0.600 [1 per cell]
V 0.987 0.439 0.124 [1 per cell]
O 0.155 0.907 0.819 [1 per cell]
O 0.170 0.705 0.047 [1 per cell]
O 0.191 0.148 0.551 [1 per cell]
O 0.311 0.930 0.305 [1 per cell]
O 0.695 0.340 0.438 [1 per cell]
O 0.828 0.580 0.688 [1 per cell]
O 0.835 0.111 0.179 [1 per cell]
O 0.860 0.318 0.949 [1 per cell]
F 0.165 0.439 0.300 [1 per cell]
F 0.322 0.660 0.561 [1 per cell]
F 0.329 0.201 0.058 [1 per cell]
F 0.349 0.406 0.788 [1 per cell]
F 0.662 0.825 0.950 [1 per cell]
F 0.671 0.616 0.194 [1 per cell]
F 0.694 0.074 0.686 [1 per cell]
F 0.835 0.844 0.450 [1 per cell]

***

Record 2
Starting from a structure optimized by DFT (GGA+U), the X-ray powder pattern of MgFeCo5O12 was simulated for Cu Kα (λ = 1.5418 Å).
Lines closer than 0.1° are merged.

Top 8 peaks for 15° ≤ 2θ ≤ 90°, by angle:
two_theta, Rel. int.
17.9, 100
36.3, 14
36.8, 16
38.0, 14
44.2, 15
47.3, 16
57.6, 10
64.8, 9

Structure:
a b c (Å): 5.000 8.584 9.999
angles (deg): 90.00 97.61 90.00
Space group Cm (No. 8)
One atom of each set of equivalent atoms:
Mg 0.000 0.000 0.000 [2 per cell]
Fe 0.103 0.500 0.735 [2 per cell]
Co 0.080 0.333 0.251 [4 per cell]
Co 0.085 0.000 0.263 [2 per cell]
Co 0.110 0.167 0.753 [4 per cell]
O 0.201 0.158 0.150 [4 per cell]
O 0.237 0.500 0.154 [2 per cell]
O 0.283 0.000 0.858 [2 per cell]
O 0.316 0.336 0.856 [4 per cell]
O 0.402 0.179 0.655 [4 per cell]
O 0.441 0.000 0.349 [2 per cell]
O 0.445 0.329 0.349 [4 per cell]
O 0.447 0.500 0.654 [2 per cell]